Structure and calculated powder diffractogram of Pu2Tl3Pb3 (a DFT-relaxed cell (GGA-PBE, Alexandria); Cu Kα).
Lines closer than 0.1° are merged.

Cell lengths 4.781, 4.982, 9.406 Å; angles 90.00, 90.00, 90.00 degrees
Space group Pmmm (No. 47)
Asymmetric unit:
Pu 0.000 0.000 0.249 [2 per cell]
Tl 0.000 0.500 0.500 [1 per cell]
Tl 0.500 0.500 0.253 [2 per cell]
Pb 0.000 0.500 0.000 [1 per cell]
Pb 0.500 0.000 0.000 [1 per cell]
Pb 0.500 0.000 0.500 [1 per cell]

Principal peaks in the range 10° ≤ 2θ ≤ 90°, by angle:
| index | d_spacing | 2θ/deg | I_rel |
| --- | --- | --- | --- |
| 1 1 2 | 2.781 | 32.2 | 100.0 |
| 0 2 0 | 2.491 | 36.1 | 18.6 |
| 2 0 0 | 2.390 | 37.6 | 16.6 |
| 0 0 4 | 2.351 | 38.3 | 15.8 |
| 2 2 0 | 1.725 | 53.1 | 12.6 |
| 1 3 2 | 1.488 | 62.4 | 15.6 |
| 3 1 2 | 1.444 | 64.5 | 14.2 |
| 1 1 6 | 1.427 | 65.4 | 13.6 |